Entry 1:
Te6RhCl3: calculated PXRD pattern (Cu Kα X-rays), based on a GGA-PBE-relaxed structure.

The 10 most intense peaks (2θ from 10° to 80°), sorted by position:
two_theta  I/Imax
12.03  74
22.74  15
31.09  100
36.66  13
39.79  17
44.69  36
49.58  22
53.66  14
63.43  10
77.74  10

Crystal structure
a b c (Å): 14.7090 14.7090 9.9054
angles (deg): 90.00 90.00 120.00
Space group R-3c (No. 167, hexagonal axes)
One atom of each set of equivalent atoms:
Te 0.0801 0.1735 0.0946 [36 per cell]
Rh 0.0000 0.0000 0.2500 [6 per cell]
Cl 0.0000 0.2648 0.7500 [18 per cell]



Entry 2:
RuCl3: calculated PXRD pattern (Cu Kα X-rays), based on a GGA-PBE-relaxed structure.

The 10 most intense peaks (2θ from 10° to 80°), sorted by position:
two_theta  I/Imax
13.82  100
16.91  13
17.55  22
19.40  16
29.89  15
34.98  47
35.30  23
44.45  15
48.50  15
52.52  14

Crystal structure
a b c (Å): 6.0299 10.4849 6.6989
angles (deg): 90.00 106.90 90.00
Space group C2/m (No. 12)
One atom of each set of equivalent atoms:
Ru 0.0000 0.1670 0.0000 [4 per cell]
Cl 0.2158 0.0000 0.2084 [4 per cell]
Cl 0.2431 0.3245 0.2100 [8 per cell]



Entry 3:
RuCl3: calculated PXRD pattern (Cu Kα X-rays), based on a GGA-PBE-relaxed structure.

The 10 most intense peaks (2θ from 10° to 80°), sorted by position:
two_theta  I/Imax
15.60  100
31.46  24
35.19  12
41.96  24
42.08  8
45.04  17
48.04  12
53.39  14
58.57  9
65.69  9

Crystal structure
a b c (Å): 6.5608 6.5608 5.7086
angles (deg): 90.00 90.00 120.00
Space group P6_3/mcm (No. 193)
One atom of each set of equivalent atoms:
Ru 0.0000 0.0000 0.0000 [2 per cell]
Cl 0.0000 0.2888 0.2500 [6 per cell]



Entry 4:
RuCl3: calculated PXRD pattern (Cu Kα X-rays), based on a GGA-PBE-relaxed structure.

The 10 most intense peaks (2θ from 10° to 80°), sorted by position:
two_theta  I/Imax
13.34  100
17.48  20
19.12  15
29.83  19
34.66  60
43.64  22
47.25  18
52.30  18
54.22  15
59.47  11

Crystal structure
a b c (Å): 6.0599 6.0599 19.9175
angles (deg): 90.00 90.00 120.00
Space group P3_112 (No. 151)
One atom of each set of equivalent atoms:
Ru 0.2223 0.1112 0.0000 [3 per cell]
Ru 0.5554 0.1108 0.6667 [3 per cell]
Cl 0.2029 0.4249 0.9327 [6 per cell]
Cl 0.2222 0.0912 0.7340 [6 per cell]
Cl 0.5558 0.1307 0.9328 [6 per cell]



Entry 5:
RuCl3: calculated PXRD pattern (Cu Kα X-rays), based on a GGA-PBE-relaxed structure.

The 10 most intense peaks (2θ from 10° to 80°), sorted by position:
two_theta  I/Imax
15.56  100
15.67  48
31.39  16
31.56  18
35.34  12
42.03  16
42.16  27
45.11  15
47.91  12
65.87  8

Crystal structure
a b c (Å): 5.6756 11.3081 6.5931
angles (deg): 90.00 90.00 90.00
Space group Pmmn (No. 59, origin choice 2)
One atom of each set of equivalent atoms:
Ru 0.0006 0.2500 0.2448 [4 per cell]
Cl 0.2500 0.1042 0.3890 [4 per cell]
Cl 0.2500 0.2500 0.9558 [2 per cell]
Cl 0.2500 0.6048 0.8991 [4 per cell]
Cl 0.2500 0.7500 0.4671 [2 per cell]



Entry 6:
RuS3Cl8: calculated PXRD pattern (Cu Kα X-rays), based on a GGA-PBE-relaxed structure.

The 10 most intense peaks (2θ from 10° to 80°), sorted by position:
two_theta  I/Imax
11.77  37
12.08  100
12.64  78
13.16  67
15.25  23
23.06  23
27.47  31
30.79  24
32.36  35
36.00  28

Crystal structure
a b c (Å): 8.1831 8.4055 11.2133
angles (deg): 104.25 98.87 108.69
Space group P-1 (No. 2)
One atom of each set of equivalent atoms:
Ru 0.1145 0.1536 0.1675 [2 per cell]
S 0.0315 0.3618 0.2815 [2 per cell]
S 0.3161 0.3307 0.0912 [2 per cell]
S 0.3249 0.1915 0.3363 [2 per cell]
Cl 0.0341 0.5506 0.1927 [2 per cell]
Cl 0.1080 0.8758 0.0265 [2 per cell]
Cl 0.1318 0.0290 0.7732 [2 per cell]
Cl 0.2149 0.5245 0.4544 [2 per cell]
Cl 0.2260 0.0872 0.4722 [2 per cell]
Cl 0.4722 0.0402 0.2858 [2 per cell]
Cl 0.4894 0.5557 0.2380 [2 per cell]
Cl 0.4947 0.7683 0.9597 [2 per cell]